The following is a simulated PXRD pattern of GaNi2GeO6. It was derived from the PBE+U geometry in Alexandria, using Cu Kα, 1.54184 Å.
No peak broadening, texture or thermal motion is included.

Main lines, by intensity (15 to 90 degrees two-theta):
hkl 1 0 1, 2θ 33.57, I = 100.0
hkl 1 1 -1, 2θ 35.76, I = 91.1
hkl 1 -1 1, 2θ 24.34, I = 40.8
hkl 1 -2 3, 2θ 54.77, I = 39.7
hkl 3 0 -1, 2θ 64.26, I = 34.4
hkl 2 0 -2, 2θ 49.91, I = 26.8
hkl 1 1 1, 2θ 54.64, I = 19.9
hkl -3 2 1, 2θ 62.92, I = 18.0
hkl 2 1 0, 2θ 62.81, I = 17.6
hkl 0 2 0, 2θ 49.77, I = 13.5

Atomic structure:
Cell: 5.0189 5.0195 5.3526 Å, 117.84 90.02 119.92°
Space group P1 (No. 1)
Inequivalent atoms, fractional coordinates:
Ga (0.0000, 0.0000, 0.0000) [1 per cell]
Ni (0.2064, 0.4121, 0.6176) [1 per cell]
Ni (0.7105, 0.4209, 0.1306) [1 per cell]
Ge (0.5078, 0.0142, 0.5211) [1 per cell]
O (0.1300, 0.5373, 0.3290) [1 per cell]
O (0.3067, 0.2075, 0.8176) [1 per cell]
O (0.4073, 0.1989, 0.3281) [1 per cell]
O (0.6115, 0.9183, 0.8175) [1 per cell]
O (0.7916, 0.9210, 0.3272) [1 per cell]
O (0.9009, 0.5117, 0.8175) [1 per cell]